This entry pairs a crystal structure of Li2FeNi3O8 with its simulated XRD peak list. Radiation: a wavelength of 1.5418 Å. Structure: a crystal structure in Alexandria, relaxed with GGA+U.
Peak positions follow from Bragg's law for the DFT cell and can differ from measured ones.

Peak list (10 most intense, 15° ≤ 2θ ≤ 90°, by angle)
2theta, I/Imax, hkl
18.2, 100.0, 0 0 1
36.2, 13.1, 4 0 -1
36.7, 21.6, 2 2 -1
38.4, 7.0, 2 2 0
44.0, 52.7, 4 0 0
48.3, 7.2, 2 2 1
57.6, 10.1, 2 2 -3
63.5, 9.1, 2 2 2
64.4, 9.4, 6 2 -2
67.3, 5.1, 6 2 -3

Cell and atoms:
```
data_Li2FeNi3O8
_symmetry_space_group_name_H-M 'C 1 2/m 1'
_symmetry_Int_Tables_number 12
_cell_length_a 10.0829
_cell_length_b 5.6999
_cell_length_c 5.9464
_cell_angle_alpha 90.00
_cell_angle_beta 125.16
_cell_angle_gamma 90.00
loop_
_symmetry_equiv_pos_as_xyz
'x,y,z'
'-x,-y,-z'
'-x,y,-z'
'x,-y,z'
'x+1/2,y+1/2,z'
'-x+1/2,-y+1/2,-z'
'-x+1/2,y+1/2,-z'
'x+1/2,-y+1/2,z'
loop_
_atom_site_label
_atom_site_fract_x
_atom_site_fract_y
_atom_site_fract_z
Li1 0.0000 0.0000 0.0000
Li2 0.0000 0.5000 0.0000
Fe1 0.0000 0.0000 0.5000
Ni1 0.0000 0.5000 0.5000
Ni2 0.2500 0.2500 0.5000
O1 0.0223 0.2606 0.2941
O2 0.2442 0.0000 0.2872
O3 0.2467 0.0000 0.7060
```